The following is a theoretical powder X-ray diffraction pattern of FeS. It was derived from a PBE-relaxed structure, using Cu Kα, 1.54184 Å.
Intensities are scaled so that the largest is 100.

Principal peaks in the range 10° ≤ 2θ ≤ 90°, low angle first:
- (0 0 1), 2θ = 16.25°, rel. 100.0
- (1 0 1), 2θ = 29.76°, rel. 22.8
- (1 1 1), 2θ = 39.09°, rel. 27.6
- (1 1 2), 2θ = 48.98°, rel. 38.2
- (2 0 0), 2θ = 50.79°, rel. 17.7
- (2 0 1), 2θ = 53.68°, rel. 14.9

a b c (Å): 3.596 3.596 5.454
angles (deg): 90.00 90.00 90.00
Space group P4/nmm (No. 129, origin choice 2)
One atom of each set of equivalent atoms:
Fe1 0.250 0.750 0.000
S1 0.250 0.250 0.222

***

The following is a theoretical powder X-ray diffraction pattern of FeS. It was derived from a PBE-relaxed structure, using Cu Kα, 1.54184 Å.
Intensities are scaled so that the largest is 100.

Principal peaks in the range 10° ≤ 2θ ≤ 90°, low angle first:
- (1 0 0), 2θ = 30.86°, rel. 53.0
- (0 1 1), 2θ = 35.30°, rel. 32.6
- (1 0 2), 2θ = 46.44°, rel. 100.0
- (1 1 0), 2θ = 54.88°, rel. 42.9
- (0 2 2), 2θ = 74.67°, rel. 21.7
- (0 1 4), 2θ = 79.56°, rel. 6.3

a b c (Å): 3.3460 3.3460 5.2991
angles (deg): 90.00 90.00 120.00
Space group P-3m1 (No. 164)
One atom of each set of equivalent atoms:
Fe1 0.0000 0.0000 0.0000
Fe2 0.0000 0.0000 0.5000
S1 0.3333 0.6667 0.2647